Entry 1:
Computed XRD peak list
Compound: Nd5Sm2YTm
Radiation: Cu Kα (λ = 1.5418 Å)
Structure: a GGA-PBE-relaxed structure
Lines closer than 0.1° are merged.

Structural model:
Cell: 10.3774 10.3774 10.3774 Å, 130.94 130.94 71.91°
Element x y z (fractional)
1 Nd 0.0000 0.0000 0.0000
2 Nd 0.0741 0.5741 0.9331
3 Nd 0.1411 0.0741 0.5000
4 Nd 0.3589 0.8589 0.9331
5 Nd 0.4259 0.3589 0.5000
6 Nd 0.5000 0.5000 0.0000
7 Nd 0.5741 0.6411 0.5000
8 Nd 0.6411 0.1411 0.0669
9 Nd 0.8589 0.9259 0.5000
10 Nd 0.9259 0.4259 0.0669
11 Sm 0.1217 0.3783 0.5000
12 Sm 0.3783 0.8783 0.2566
13 Sm 0.6217 0.1217 0.7434
14 Sm 0.8783 0.6217 0.5000
15 Y 0.2500 0.2500 0.0000
16 Y 0.7500 0.7500 0.0000
17 Tm 0.2500 0.7500 0.5000
18 Tm 0.7500 0.2500 0.5000

Largest 6 diffraction maxima, most intense first, 10 to 80 degrees two-theta:
2θ/deg  I (rel.)
29.7  100
29.3  51
28.1  49
52.2  26
34.6  20
38.0  15


Entry 2:
Computed XRD peak list
Compound: Nd2Sm7Y
Radiation: Cu Kα (λ = 1.5418 Å)
Structure: a GGA-PBE-relaxed structure
Lines closer than 0.1° are merged.

Structural model:
Cell: 6.2933 6.2955 9.6185 Å, 70.92 70.91 80.40°
Element x y z (fractional)
1 Nd 0.1009 0.0006 0.2992
2 Nd 0.8991 0.9994 0.7008
3 Sm 0.2005 0.4988 0.6003
4 Sm 0.2996 0.0001 0.9003
5 Sm 0.4010 0.5002 0.1991
6 Sm 0.5000 0.0000 0.5000
7 Sm 0.5990 0.4998 0.8009
8 Sm 0.7004 0.9999 0.0997
9 Sm 0.7995 0.5012 0.3997
10 Y 0.0000 0.5000 0.0000

Largest 6 diffraction maxima, most intense first, 10 to 80 degrees two-theta:
2θ/deg  I (rel.)
30.1  100
34.9  51
59.7  43
50.2  36
62.6  12
73.7  6


Entry 3:
Computed XRD peak list
Compound: Nd3Sm2Y5
Radiation: Cu Kα (λ = 1.5418 Å)
Structure: a GGA-PBE-relaxed structure
Lines closer than 0.1° are merged.

Structural model:
Cell: 11.0729 11.0729 11.0729 Å, 112.69 77.57 146.05°
Element x y z (fractional)
1 Nd 0.1715 0.2475 0.4191
2 Nd 0.2500 0.2500 0.0000
3 Nd 0.3285 0.7475 0.0760
4 Nd 0.6715 0.2525 0.9240
5 Nd 0.7500 0.7500 0.0000
6 Nd 0.8285 0.7525 0.5809
7 Sm 0.1682 0.5866 0.7548
8 Sm 0.3318 0.0866 0.4185
9 Sm 0.6682 0.9134 0.5815
10 Sm 0.8318 0.4134 0.2452
11 Y 0.1663 0.9103 0.0766
12 Y 0.2500 0.5021 0.2521
13 Y 0.2500 0.7500 0.5000
14 Y 0.2500 0.9979 0.7479
15 Y 0.3337 0.4103 0.7441
16 Y 0.6663 0.5897 0.2559
17 Y 0.7500 0.0021 0.2521
18 Y 0.7500 0.2500 0.5000
19 Y 0.7500 0.4979 0.7479
20 Y 0.8337 0.0897 0.9234

Largest 6 diffraction maxima, most intense first, 10 to 80 degrees two-theta:
2θ/deg  I (rel.)
27.8  100
33.2  69
29.5  68
31.1  61
34.7  38
48.9  21


Entry 4:
Computed XRD peak list
Compound: NdSm3Y2
Radiation: Cu Kα (λ = 1.5418 Å)
Structure: a GGA-PBE-relaxed structure
Lines closer than 0.1° are merged.

Structural model:
Cell: 11.9968 11.4383 6.2644 Å, 79.48 69.62 30.89°
Element x y z (fractional)
1 Nd 0.1250 0.1250 0.1250
2 Nd 0.8750 0.8750 0.8750
3 Sm 0.0416 0.0416 0.7084
4 Sm 0.2916 0.2916 0.9584
5 Sm 0.3750 0.3750 0.3750
6 Sm 0.6250 0.6250 0.6250
7 Sm 0.7084 0.7084 0.0416
8 Sm 0.9584 0.9584 0.2916
9 Y 0.2084 0.2084 0.5416
10 Y 0.4584 0.4584 0.7916
11 Y 0.5416 0.5416 0.2084
12 Y 0.7916 0.7916 0.4584

Largest 6 diffraction maxima, most intense first, 10 to 80 degrees two-theta:
2θ/deg  I (rel.)
30.3  100
35.1  50
60.0  42
50.5  36
62.9  12
74.2  6


Entry 5:
Computed XRD peak list
Compound: Nd2Sm8Y3
Radiation: Cu Kα (λ = 1.5418 Å)
Structure: a GGA-PBE-relaxed structure
Lines closer than 0.1° are merged.

Structural model:
Cell: 8.0047 5.0852 11.4122 Å, 90.00 97.86 90.00°
Element x y z (fractional)
1 Nd 0.2075 0.0000 0.0718
2 Nd 0.7925 0.0000 0.9282
3 Sm 0.0710 0.0000 0.3542
4 Sm 0.0755 0.5000 0.8556
5 Sm 0.3552 0.0000 0.7800
6 Sm 0.3574 0.5000 0.2837
7 Sm 0.6426 0.5000 0.7163
8 Sm 0.6448 0.0000 0.2200
9 Sm 0.9245 0.5000 0.1444
10 Sm 0.9290 0.0000 0.6458
11 Y 0.2158 0.5000 0.5697
12 Y 0.5000 0.0000 0.5000
13 Y 0.7842 0.5000 0.4303

Largest 6 diffraction maxima, most intense first, 10 to 80 degrees two-theta:
2θ/deg  I (rel.)
30.4  100
50.9  18
35.3  17
35.1  17
35.5  17
60.2  14


Entry 6:
Computed XRD peak list
Compound: Nd16Sm7Y6
Radiation: Cu Kα (λ = 1.5418 Å)
Structure: a GGA-PBE-relaxed structure
Lines closer than 0.1° are merged.

Structural model:
Cell: 11.3859 11.3859 11.3859 Å, 60.00 60.00 60.00°
Element x y z (fractional)
1 Nd 0.0457 0.6514 0.6514
2 Nd 0.1249 0.1249 0.1249
3 Nd 0.1249 0.1249 0.6254
4 Nd 0.1249 0.6254 0.1249
5 Nd 0.3486 0.3486 0.3486
6 Nd 0.3486 0.3486 0.9543
7 Nd 0.3486 0.9543 0.3486
8 Nd 0.3746 0.8751 0.8751
9 Nd 0.6254 0.1249 0.1249
10 Nd 0.6514 0.0457 0.6514
11 Nd 0.6514 0.6514 0.0457
12 Nd 0.6514 0.6514 0.6514
13 Nd 0.8751 0.3746 0.8751
14 Nd 0.8751 0.8751 0.3746
15 Nd 0.8751 0.8751 0.8751
16 Nd 0.9543 0.3486 0.3486
17 Sm 0.0000 0.0000 0.0000
18 Sm 0.0000 0.0000 0.5000
19 Sm 0.0000 0.5000 0.0000
20 Sm 0.0000 0.5000 0.5000
21 Sm 0.5000 0.0000 0.0000
22 Sm 0.5000 0.0000 0.5000
23 Sm 0.5000 0.5000 0.0000
24 Y 0.2689 0.2689 0.7311
25 Y 0.2689 0.7311 0.2689
26 Y 0.2689 0.7311 0.7311
27 Y 0.7311 0.2689 0.2689
28 Y 0.7311 0.2689 0.7311
29 Y 0.7311 0.7311 0.2689

Largest 6 diffraction maxima, most intense first, 10 to 80 degrees two-theta:
2θ/deg  I (rel.)
31.4  100
56.0  26
45.0  14
28.8  10
32.9  8
65.6  7


Entry 7:
Computed XRD peak list
Compound: Nd4Sm4Y3
Radiation: Cu Kα (λ = 1.5418 Å)
Structure: a GGA-PBE-relaxed structure
Lines closer than 0.1° are merged.

Structural model:
Cell: 3.5893 5.7314 18.4266 Å, 81.11 84.42 90.00°
Element x y z (fractional)
1 Nd 0.0459 0.0475 0.4078
2 Nd 0.1797 0.6804 0.1399
3 Nd 0.8203 0.3196 0.8601
4 Nd 0.9541 0.9525 0.5922
5 Sm 0.0902 0.5917 0.3189
6 Sm 0.2332 0.2331 0.0339
7 Sm 0.7668 0.7669 0.9661
8 Sm 0.9098 0.4083 0.6811
9 Y 0.3641 0.8632 0.7728
10 Y 0.5000 0.5000 0.5000
11 Y 0.6359 0.1368 0.2272

Largest 6 diffraction maxima, most intense first, 10 to 80 degrees two-theta:
2θ/deg  I (rel.)
31.3  100
31.0  80
31.3  49
61.0  44
30.3  35
44.1  25


Entry 8:
Computed XRD peak list
Compound: Nd8Sm2Y3
Radiation: Cu Kα (λ = 1.5418 Å)
Structure: a GGA-PBE-relaxed structure
Lines closer than 0.1° are merged.

Structural model:
Cell: 6.3212 22.1524 6.4929 Å, 90.00 98.79 90.00°
Element x y z (fractional)
1 Nd 0.0199 0.0848 0.1038
2 Nd 0.0199 0.4152 0.6038
3 Nd 0.2458 0.1112 0.6589
4 Nd 0.2458 0.3888 0.1589
5 Nd 0.2776 0.6894 0.8138
6 Nd 0.2776 0.8106 0.3138
7 Nd 0.4625 0.6559 0.3288
8 Nd 0.4625 0.8441 0.8288
9 Nd 0.5375 0.1559 0.1712
10 Nd 0.5375 0.3441 0.6712
11 Nd 0.7224 0.1894 0.6862
12 Nd 0.7224 0.3106 0.1862
13 Nd 0.7542 0.6112 0.8411
14 Nd 0.7542 0.8888 0.3411
15 Nd 0.9801 0.5848 0.3962
16 Nd 0.9801 0.9152 0.8962
17 Sm 0.2522 0.5372 0.9641
18 Sm 0.2522 0.9628 0.4641
19 Sm 0.7478 0.0372 0.5359
20 Sm 0.7478 0.4628 0.0359
21 Y 0.1418 0.2342 0.3746
22 Y 0.1418 0.2658 0.8746
23 Y 0.5000 0.0000 0.0000
24 Y 0.5000 0.5000 0.5000
25 Y 0.8582 0.7342 0.1254
26 Y 0.8582 0.7658 0.6254

Largest 6 diffraction maxima, most intense first, 10 to 80 degrees two-theta:
2θ/deg  I (rel.)
31.7  100
28.1  82
29.4  59
30.1  57
30.4  47
30.9  40


Entry 9:
Computed XRD peak list
Compound: NdSm6Y2
Radiation: Cu Kα (λ = 1.5418 Å)
Structure: a GGA-PBE-relaxed structure
Lines closer than 0.1° are merged.

Structural model:
Cell: 6.1485 6.1485 15.4812 Å, 101.55 101.55 32.89°
Element x y z (fractional)
1 Nd 0.0000 0.0000 0.0000
2 Sm 0.0409 0.0409 0.2315
3 Sm 0.2942 0.2942 0.1047
4 Sm 0.3730 0.3730 0.5633
5 Sm 0.6270 0.6270 0.4367
6 Sm 0.7058 0.7058 0.8953
7 Sm 0.9591 0.9591 0.7685
8 Y 0.3336 0.3336 0.3340
9 Y 0.6664 0.6664 0.6660

Largest 6 diffraction maxima, most intense first, 10 to 80 degrees two-theta:
2θ/deg  I (rel.)
34.8  100
30.3  97
30.8  54
27.0  43
61.4  28
41.5  27


Entry 10:
Computed XRD peak list
Compound: Nd4Sm8Y
Radiation: Cu Kα (λ = 1.5418 Å)
Structure: a GGA-PBE-relaxed structure
Lines closer than 0.1° are merged.

Structural model:
Cell: 7.9092 7.9092 7.9092 Å, 90.59 90.59 90.59°
Element x y z (fractional)
1 Nd 0.0000 0.0000 0.0000
2 Nd 0.0000 0.5000 0.5000
3 Nd 0.5000 0.0000 0.5000
4 Nd 0.5000 0.5000 0.0000
5 Sm 0.2372 0.2372 0.7559
6 Sm 0.2372 0.7559 0.2372
7 Sm 0.2380 0.2380 0.2380
8 Sm 0.2441 0.7628 0.7628
9 Sm 0.7559 0.2372 0.2372
10 Sm 0.7620 0.7620 0.7620
11 Sm 0.7628 0.2441 0.7628
12 Sm 0.7628 0.7628 0.2441
13 Y 0.5000 0.5000 0.5000

Largest 6 diffraction maxima, most intense first, 10 to 80 degrees two-theta:
2θ/deg  I (rel.)
31.8  100
32.2  96
56.9  36
45.9  35
19.4  22
56.7  19


Entry 11:
Computed XRD peak list
Compound: Nd6SmY8
Radiation: Cu Kα (λ = 1.5418 Å)
Structure: a GGA-PBE-relaxed structure
Lines closer than 0.1° are merged.

Structural model:
Cell: 8.7964 8.7964 8.7964 Å, 62.79 62.79 62.79°
Element x y z (fractional)
1 Nd 0.0378 0.6027 0.7294
2 Nd 0.2706 0.9622 0.3973
3 Nd 0.3973 0.2706 0.9622
4 Nd 0.6027 0.7294 0.0378
5 Nd 0.7294 0.0378 0.6027
6 Nd 0.9622 0.3973 0.2706
7 Sm 0.5000 0.5000 0.5000
8 Y 0.0771 0.0771 0.0771
9 Y 0.2154 0.6120 0.2507
10 Y 0.2507 0.2154 0.6120
11 Y 0.3880 0.7493 0.7846
12 Y 0.6120 0.2507 0.2154
13 Y 0.7493 0.7846 0.3880
14 Y 0.7846 0.3880 0.7493
15 Y 0.9229 0.9229 0.9229

Largest 6 diffraction maxima, most intense first, 10 to 80 degrees two-theta:
2θ/deg  I (rel.)
31.0  100
31.8  29
30.1  24
36.3  14
54.6  12
34.4  12


Entry 12:
Computed XRD peak list
Compound: Nd8SmY4
Radiation: Cu Kα (λ = 1.5418 Å)
Structure: a GGA-PBE-relaxed structure
Lines closer than 0.1° are merged.

Structural model:
Cell: 7.9387 7.9387 7.9387 Å, 90.83 90.83 90.83°
Element x y z (fractional)
1 Nd 0.2371 0.2371 0.7538
2 Nd 0.2371 0.7538 0.2371
3 Nd 0.2387 0.2387 0.2387
4 Nd 0.2462 0.7629 0.7629
5 Nd 0.7538 0.2371 0.2371
6 Nd 0.7613 0.7613 0.7613
7 Nd 0.7629 0.2462 0.7629
8 Nd 0.7629 0.7629 0.2462
9 Sm 0.5000 0.5000 0.5000
10 Y 0.0000 0.0000 0.0000
11 Y 0.0000 0.5000 0.5000
12 Y 0.5000 0.0000 0.5000
13 Y 0.5000 0.5000 0.0000

Largest 6 diffraction maxima, most intense first, 10 to 80 degrees two-theta:
2θ/deg  I (rel.)
31.6  100
32.1  94
56.7  36
45.7  35
22.4  34
56.4  19


Q: What is the formula in the tenth record?
A: Nd4Sm8Y


Please write out number 9 again, unchanged.
Computed XRD peak list
Compound: NdSm6Y2
Radiation: Cu Kα (λ = 1.5418 Å)
Structure: a GGA-PBE-relaxed structure
Lines closer than 0.1° are merged.

Structural model:
Cell: 6.1485 6.1485 15.4812 Å, 101.55 101.55 32.89°
Element x y z (fractional)
1 Nd 0.0000 0.0000 0.0000
2 Sm 0.0409 0.0409 0.2315
3 Sm 0.2942 0.2942 0.1047
4 Sm 0.3730 0.3730 0.5633
5 Sm 0.6270 0.6270 0.4367
6 Sm 0.7058 0.7058 0.8953
7 Sm 0.9591 0.9591 0.7685
8 Y 0.3336 0.3336 0.3340
9 Y 0.6664 0.6664 0.6660

Largest 6 diffraction maxima, most intense first, 10 to 80 degrees two-theta:
2θ/deg  I (rel.)
34.8  100
30.3  97
30.8  54
27.0  43
61.4  28
41.5  27